1.
The following is a theoretical X-ray powder pattern of K2CoH8C2O10. It was derived from a cell relaxed with GGA+U, using CuKα.
No peak broadening, texture or thermal motion is included.

Most intense lines, 2θ = 10–90°, in order of falling intensity:
| 2theta | intensity | hkl |
| --- | --- | --- |
| 29.7 | 100 | 2 1 -1 |
| 14.0 | 73 | 1 0 0 |
| 29.4 | 68 | 0 2 1 |
| 19.1 | 51 | 1 1 -1 |
| 34.9 | 50 | 0 1 4 |
| 27.7 | 49 | 0 1 3 |
| 43.5 | 43 | 2 2 1 |
| 23.5 | 43 | 1 1 1 |
| 16.1 | 41 | 0 1 1 |
| 35.8 | 38 | 2 1 -4 |

Crystal structure
```
data_K2CoH8C2O10
_space_group_name_H-M_alt 'P 1 21/c 1'
_space_group_IT_number 14
_space_group_name_Hall '-P 2ybc'
_cell_length_a 6.9310
_cell_length_b 6.3169
_cell_length_c 12.3342
_cell_angle_alpha 90.00
_cell_angle_beta 114.26
_cell_angle_gamma 90.00
loop_
_atom_site_label
_atom_site_type_symbol
_atom_site_fract_x
_atom_site_fract_y
_atom_site_fract_z
K1 K 0.2327 0.1545 0.3163
Co1 Co 0.0000 0.0000 0.0000
H1 H 0.2000 0.6636 0.3677
H2 H 0.2093 0.6973 0.9835
H3 H 0.3004 0.1745 0.5782
H4 H 0.4281 0.1098 0.1111
C1 C 0.2577 0.6541 0.1810
O1 O 0.1123 0.7232 0.4088
O2 O 0.1242 0.6898 0.6529
O3 O 0.2922 0.1725 0.0536
O4 O 0.3180 0.5667 0.2852
O5 O 0.3311 0.5831 0.1058
```

=====

2.
The following is a theoretical X-ray powder pattern of CoH8C6N6O2. It was derived from a cell relaxed with GGA+U, using CuKα.
No peak broadening, texture or thermal motion is included.

Most intense lines, 2θ = 10–90°, in order of falling intensity:
| 2theta | intensity | hkl |
| --- | --- | --- |
| 23.8 | 100 | -1 1 1 |
| 17.9 | 99 | 1 1 1 |
| 27.3 | 83 | 1 0 2 |
| 15.4 | 57 | 1 0 1 |
| 14.4 | 52 | 0 1 1 |
| 15.7 | 47 | 0 0 1 |
| 15.3 | 35 | 1 0 0 |
| 28.8 | 31 | 1 2 1 |
| 30.4 | 27 | 2 -1 1 |
| 24.3 | 23 | 0 2 1 |

Crystal structure
```
data_CoH8C6N6O2
_space_group_name_H-M_alt 'P -1'
_space_group_IT_number 2
_space_group_name_Hall '-P 1'
_cell_length_a 6.7165
_cell_length_b 7.3206
_cell_length_c 7.4784
_cell_angle_alpha 60.79
_cell_angle_beta 63.81
_cell_angle_gamma 89.88
loop_
_atom_site_label
_atom_site_type_symbol
_atom_site_fract_x
_atom_site_fract_y
_atom_site_fract_z
Co1 Co 0.0000 0.0000 0.0000
H1 H 0.0755 0.5957 0.5627
H2 H 0.0903 0.8462 0.5494
H3 H 0.2040 0.2404 0.5189
H4 H 0.2875 0.8365 0.2983
C1 C 0.1102 0.7725 0.4468
C2 C 0.3418 0.4289 0.8333
C3 C 0.3421 0.7368 0.8328
N1 N 0.2509 0.2578 0.8895
N2 N 0.2514 0.8526 0.8887
N3 N 0.4553 0.6177 0.7626
O1 O 0.0425 0.1767 0.6483
```